Theoretical powder diffraction line list
Compound: FeCuTc
Radiation: CuKα
Structure: a cell relaxed with GGA-PBE
Neutral-atom scattering factors, no anomalous dispersion.

Main lines, low angle first (10° ≤ 2θ ≤ 90°):
d = 3.372 Å, 2θ = 26.4°, I = 100
d = 2.131 Å, 2θ = 42.4°, I = 1000
d = 2.120 Å, 2θ = 42.7°, I = 982
d = 1.875 Å, 2θ = 48.6°, I = 331
d = 1.824 Å, 2θ = 50.0°, I = 605
d = 1.308 Å, 2θ = 72.3°, I = 374
d = 1.126 Å, 2θ = 86.4°, I = 115
d = 1.124 Å, 2θ = 86.6°, I = 114
d = 1.105 Å, 2θ = 88.5°, I = 219
d = 1.100 Å, 2θ = 88.9°, I = 216

Lattice parameters (Å, degrees): 4.478 4.478 4.478 146.37 130.49 61.18
Sites, in units of the cell vectors:
Fe (0.000, 0.000, 0.000)
Cu (0.333, 0.333, 0.000)
Tc (0.664, 0.664, 0.000)


Theoretical powder diffraction line list
Compound: Ti4FeCu
Radiation: CuKα
Structure: a cell relaxed with GGA-PBE
Neutral-atom scattering factors, no anomalous dispersion.

Main lines, low angle first (10° ≤ 2θ ≤ 90°):
d = 5.099 Å, 2θ = 17.4°, I = 60
d = 2.230 Å, 2θ = 40.4°, I = 1000
d = 2.090 Å, 2θ = 43.3°, I = 426
d = 1.933 Å, 2θ = 47.0°, I = 27
d = 1.700 Å, 2θ = 53.9°, I = 86
d = 1.679 Å, 2θ = 54.7°, I = 31
d = 1.478 Å, 2θ = 62.9°, I = 126
d = 1.319 Å, 2θ = 71.6°, I = 136
d = 1.232 Å, 2θ = 77.5°, I = 247
d = 1.115 Å, 2θ = 87.5°, I = 77

Lattice parameters (Å, degrees): 2.955 2.955 10.198 90.00 90.00 90.00
Sites, in units of the cell vectors:
Ti (0.000, 0.000, 0.145)
Ti (0.000, 0.000, 0.855)
Ti (0.500, 0.500, 0.330)
Ti (0.500, 0.500, 0.670)
Fe (0.500, 0.500, 0.000)
Cu (0.000, 0.000, 0.500)


Theoretical powder diffraction line list
Compound: TlFeCu2
Radiation: CuKα
Structure: a cell relaxed with GGA-PBE
Neutral-atom scattering factors, no anomalous dispersion.

Main lines, low angle first (10° ≤ 2θ ≤ 90°):
d = 3.557 Å, 2θ = 25.0°, I = 414
d = 2.253 Å, 2θ = 40.0°, I = 1000
d = 2.062 Å, 2θ = 43.9°, I = 99
d = 2.050 Å, 2θ = 44.2°, I = 376
d = 1.790 Å, 2θ = 51.0°, I = 122
d = 1.777 Å, 2θ = 51.4°, I = 175
d = 1.449 Å, 2θ = 64.3°, I = 119
d = 1.348 Å, 2θ = 69.8°, I = 184
d = 1.219 Å, 2θ = 78.5°, I = 263
d = 1.126 Å, 2θ = 86.4°, I = 104

Lattice parameters (Å, degrees): 4.606 4.606 4.606 127.16 127.16 78.00
Sites, in units of the cell vectors:
Tl (0.000, 0.000, 0.000)
Fe (0.500, 0.500, 0.000)
Cu (0.250, 0.750, 0.500)
Cu (0.750, 0.250, 0.500)


Theoretical powder diffraction line list
Compound: TlFeCu2
Radiation: CuKα
Structure: a cell relaxed with GGA-PBE
Neutral-atom scattering factors, no anomalous dispersion.

Main lines, low angle first (10° ≤ 2θ ≤ 90°):
d = 3.683 Å, 2θ = 24.2°, I = 112
d = 3.539 Å, 2θ = 25.2°, I = 354
d = 2.853 Å, 2θ = 31.4°, I = 119
d = 2.256 Å, 2θ = 40.0°, I = 1000
d = 2.018 Å, 2θ = 44.9°, I = 356
d = 1.842 Å, 2θ = 49.5°, I = 133
d = 1.427 Å, 2θ = 65.4°, I = 112
d = 1.360 Å, 2θ = 69.1°, I = 189
d = 1.206 Å, 2θ = 79.5°, I = 253
d = 1.128 Å, 2θ = 86.2°, I = 208

Lattice parameters (Å, degrees): 4.659 4.659 4.659 128.68 128.68 75.53
Sites, in units of the cell vectors:
Tl (0.000, 0.000, 0.000)
Fe (0.750, 0.250, 0.500)
Cu (0.250, 0.750, 0.500)
Cu (0.500, 0.500, 0.000)


Theoretical powder diffraction line list
Compound: V2FeCu
Radiation: CuKα
Structure: a cell relaxed with GGA-PBE
Neutral-atom scattering factors, no anomalous dispersion.

Main lines, low angle first (10° ≤ 2θ ≤ 90°):
d = 3.665 Å, 2θ = 24.3°, I = 16
d = 2.575 Å, 2θ = 34.8°, I = 14
d = 2.107 Å, 2θ = 42.9°, I = 1000
d = 1.832 Å, 2θ = 49.8°, I = 157
d = 1.821 Å, 2θ = 50.1°, I = 307
d = 1.630 Å, 2θ = 56.4°, I = 8
d = 1.291 Å, 2θ = 73.3°, I = 176
d = 1.287 Å, 2θ = 73.6°, I = 87
d = 1.104 Å, 2θ = 88.6°, I = 105
d = 1.098 Å, 2θ = 89.1°, I = 207

Lattice parameters (Å, degrees): 3.641 3.641 3.665 90.00 90.00 90.00
Sites, in units of the cell vectors:
V (0.000, 0.500, 0.000)
V (0.500, 0.000, 0.000)
Fe (0.000, 0.000, 0.500)
Cu (0.500, 0.500, 0.500)


Theoretical powder diffraction line list
Compound: FeCuW2
Radiation: CuKα
Structure: a cell relaxed with GGA-PBE
Neutral-atom scattering factors, no anomalous dispersion.

Main lines, low angle first (10° ≤ 2θ ≤ 90°):
d = 3.774 Å, 2θ = 23.6°, I = 236
d = 2.696 Å, 2θ = 33.2°, I = 202
d = 2.194 Å, 2θ = 41.1°, I = 1000
d = 1.907 Å, 2θ = 47.7°, I = 326
d = 1.887 Å, 2θ = 48.2°, I = 158
d = 1.702 Å, 2θ = 53.9°, I = 110
d = 1.341 Å, 2θ = 70.2°, I = 202
d = 1.149 Å, 2θ = 84.3°, I = 248
d = 1.140 Å, 2θ = 85.1°, I = 121
d = 1.097 Å, 2θ = 89.3°, I = 110

Lattice parameters (Å, degrees): 3.813 3.813 3.774 90.00 90.00 90.00
Sites, in units of the cell vectors:
Fe (0.000, 0.000, 0.000)
Cu (0.500, 0.500, 0.000)
W (0.000, 0.500, 0.500)
W (0.500, 0.000, 0.500)